Diffraction record for BaPtS4. The PXRD pattern is simulated, not measured: it uses a GGA-PBE-relaxed structure and λ = 1.5418 Å (Cu Kα).
Peak positions follow from Bragg's law for the DFT cell and can differ from measured ones.

Principal peaks in the range 10 to 90 degrees two-theta, most intense first:
2θ = 27.06°, 3.295 Å, rel. 100, (1 3 1)
2θ = 22.41°, 3.967 Å, rel. 78, (1 1 1)
2θ = 25.34°, 3.515 Å, rel. 40, (0 0 2)
2θ = 33.29°, 2.691 Å, rel. 39, (0 4 2)
2θ = 44.35°, 2.042 Å, rel. 33, (2 0 2)
2θ = 45.73°, 1.984 Å, rel. 30, (1 3 3)
2θ = 44.02°, 2.057 Å, rel. 27, (2 4 1)
2θ = 24.76°, 3.596 Å, rel. 22, (0 4 1)
2θ = 10.57°, 8.368 Å, rel. 20, (0 2 0)
2θ = 49.56°, 1.839 Å, rel. 20, (1 7 2)

Structure:
```
data_BaPtS4
_chemical_formula_sum 'Ba4 Pt4 S16'
_symmetry_space_group_name_H-M 'P b c n'
_symmetry_Int_Tables_number 60
_symmetry_space_group_name_Hall '-P 2n 2ab'
_cell_length_a 5.0166
_cell_length_b 16.7366
_cell_length_c 7.0306
_cell_angle_alpha 90.00
_cell_angle_beta 90.00
_cell_angle_gamma 90.00
loop_
_atom_site_label
_atom_site_type_symbol
_atom_site_fract_x
_atom_site_fract_y
_atom_site_fract_z
_atom_site_occupancy
Ba1 Ba 0.0000 0.1433 0.2500 1
Pt1 Pt 0.0000 0.4127 0.2500 1
S1 S 0.1856 0.1873 0.6800 1
S2 S 0.2139 0.0070 0.9906 1
```

Diffraction record for BaPtS6. The PXRD pattern is simulated, not measured: it uses a GGA-PBE-relaxed structure and λ = 1.5418 Å (Cu Kα).
Peak positions follow from Bragg's law for the DFT cell and can differ from measured ones.

Principal peaks in the range 10 to 90 degrees two-theta, most intense first:
2θ = 12.04°, 7.349 Å, rel. 100, (0 0 1)
2θ = 15.87°, 5.583 Å, rel. 26, (0 1 0)
2θ = 24.35°, 3.656 Å, rel. 24, (1 1 0)
2θ = 24.22°, 3.674 Å, rel. 20, (0 0 2)
2θ = 28.85°, 3.095 Å, rel. 19, (1 -1 2)
2θ = 32.78°, 2.732 Å, rel. 18, (0 2 -2)
2θ = 33.14°, 2.703 Å, rel. 18, (2 0 -1)
2θ = 20.60°, 4.312 Å, rel. 18, (1 -1 0)
2θ = 25.82°, 3.451 Å, rel. 15, (-1 1 1)
2θ = 30.41°, 2.939 Å, rel. 13, (1 1 1)

Structure:
```
data_BaPtS6
_chemical_formula_sum 'Ba1 Pt1 S6'
_symmetry_space_group_name_H-M 'P -1'
_symmetry_Int_Tables_number 2
_symmetry_space_group_name_Hall '-P 1'
_cell_length_a 5.6526
_cell_length_b 6.0193
_cell_length_c 7.8577
_cell_angle_alpha 109.79
_cell_angle_beta 93.26
_cell_angle_gamma 97.72
loop_
_atom_site_label
_atom_site_type_symbol
_atom_site_fract_x
_atom_site_fract_y
_atom_site_fract_z
_atom_site_occupancy
Ba1 Ba 0.0000 0.0000 0.0000 1
Pt1 Pt 0.5000 0.5000 0.0000 1
S1 S 0.1292 0.5629 0.1174 1
S2 S 0.3330 0.5344 0.5547 1
S3 S 0.4456 0.7372 0.8201 1
```

Diffraction record for Ba2PtS. The PXRD pattern is simulated, not measured: it uses a GGA-PBE-relaxed structure and λ = 1.5418 Å (Cu Kα).
Peak positions follow from Bragg's law for the DFT cell and can differ from measured ones.

Principal peaks in the range 10 to 90 degrees two-theta, most intense first:
2θ = 32.64°, 2.744 Å, rel. 100, (1 0 2)
2θ = 32.74°, 2.735 Å, rel. 50, (1 1 0)
2θ = 58.37°, 1.581 Å, rel. 37, (2 1 2)
2θ = 11.37°, 7.784 Å, rel. 25, (0 0 1)
2θ = 25.72°, 3.464 Å, rel. 21, (1 0 1)
2θ = 58.18°, 1.586 Å, rel. 19, (1 1 4)
2θ = 46.98°, 1.934 Å, rel. 18, (2 0 0)
2θ = 78.10°, 1.224 Å, rel. 16, (3 1 0)
2θ = 68.38°, 1.372 Å, rel. 12, (2 0 4)
2θ = 46.67°, 1.946 Å, rel. 9, (0 0 4)

Structure:
```
data_Ba2PtS
_chemical_formula_sum 'Ba2 Pt1 S1'
_symmetry_space_group_name_H-M 'P 4/m m m'
_symmetry_Int_Tables_number 123
_symmetry_space_group_name_Hall '-P 4 2'
_cell_length_a 3.8685
_cell_length_b 3.8685
_cell_length_c 7.7842
_cell_angle_alpha 90.00
_cell_angle_beta 90.00
_cell_angle_gamma 90.00
loop_
_atom_site_label
_atom_site_type_symbol
_atom_site_fract_x
_atom_site_fract_y
_atom_site_fract_z
_atom_site_occupancy
Ba1 Ba 0.0000 0.0000 0.2444 1
Pt1 Pt 0.5000 0.5000 0.5000 1
S1 S 0.5000 0.5000 0.0000 1
```

Diffraction record for Ba3Sb5Pt6. The PXRD pattern is simulated, not measured: it uses a GGA-PBE-relaxed structure and λ = 1.5418 Å (Cu Kα).
Peak positions follow from Bragg's law for the DFT cell and can differ from measured ones.

Principal peaks in the range 10 to 90 degrees two-theta, most intense first:
2θ = 31.83°, 2.811 Å, rel. 100, (1 3 2)
2θ = 30.82°, 2.901 Å, rel. 51, (1 0 3)
2θ = 42.57°, 2.123 Å, rel. 37, (1 3 4)
2θ = 39.27°, 2.294 Å, rel. 36, (2 0 0)
2θ = 15.79°, 5.611 Å, rel. 29, (0 0 2)
2θ = 39.16°, 2.300 Å, rel. 28, (0 6 0)
2θ = 56.66°, 1.625 Å, rel. 19, (2 6 0)
2θ = 56.79°, 1.621 Å, rel. 18, (1 3 6)
2θ = 44.95°, 2.017 Å, rel. 14, (0 3 5)
2θ = 66.54°, 1.405 Å, rel. 13, (3 3 2)

Structure:
```
data_Ba3Sb5Pt6
_chemical_formula_sum 'Ba6 Sb10 Pt12'
_symmetry_space_group_name_H-M 'P m m n'
_symmetry_Int_Tables_number 59
_cell_length_a 4.5890
_cell_length_b 13.8024
_cell_length_c 11.2225
_cell_angle_alpha 90.00
_cell_angle_beta 90.00
_cell_angle_gamma 90.00
loop_
_symmetry_equiv_pos_as_xyz
'x,y,z'
'-x,-y,-z'
'-x+1/2,-y+1/2,z'
'x+1/2,y+1/2,-z'
'x+1/2,-y,-z'
'-x+1/2,y,z'
'-x,y+1/2,-z'
'x,-y+1/2,z'
loop_
_atom_site_label
_atom_site_type_symbol
_atom_site_fract_x
_atom_site_fract_y
_atom_site_fract_z
_atom_site_occupancy
Ba1 Ba 0.2500 0.0932 0.2442 1
Ba2 Ba 0.2500 0.7500 0.2464 1
Sb1 Sb 0.2500 0.0810 0.6371 1
Sb2 Sb 0.2500 0.6120 0.9943 1
Sb3 Sb 0.2500 0.7500 0.5992 1
Pt1 Pt 0.2500 0.0658 0.8805 1
Pt2 Pt 0.2500 0.2500 0.5188 1
Pt3 Pt 0.2500 0.2500 0.9900 1
Pt4 Pt 0.2500 0.5717 0.4896 1
```

Diffraction record for Ba2Sb2Pt. The PXRD pattern is simulated, not measured: it uses a GGA-PBE-relaxed structure and λ = 1.5418 Å (Cu Kα).
Peak positions follow from Bragg's law for the DFT cell and can differ from measured ones.

Principal peaks in the range 10 to 90 degrees two-theta, most intense first:
2θ = 27.24°, 3.274 Å, rel. 100, (1 1 2)
2θ = 36.83°, 2.440 Å, rel. 72, (3 1 -4)
2θ = 28.22°, 3.162 Å, rel. 50, (4 0 -2)
2θ = 39.71°, 2.270 Å, rel. 40, (0 2 0)
2θ = 28.63°, 3.118 Å, rel. 36, (3 1 -1)
2θ = 37.62°, 2.391 Å, rel. 35, (4 0 2)
2θ = 53.49°, 1.713 Å, rel. 30, (1 1 6)
2θ = 30.22°, 2.957 Å, rel. 29, (0 0 4)
2θ = 29.60°, 3.018 Å, rel. 29, (3 1 0)
2θ = 49.43°, 1.844 Å, rel. 23, (4 2 -2)

Structure:
```
data_Ba2Sb2Pt
_chemical_formula_sum 'Ba8 Sb8 Pt4'
_symmetry_space_group_name_H-M 'C 1 2/m 1'
_symmetry_Int_Tables_number 12
_symmetry_space_group_name_Hall '-C 2y'
_cell_length_a 12.8695
_cell_length_b 4.5392
_cell_length_c 12.5575
_cell_angle_alpha 90.00
_cell_angle_beta 109.62
_cell_angle_gamma 90.00
loop_
_atom_site_label
_atom_site_type_symbol
_atom_site_fract_x
_atom_site_fract_y
_atom_site_fract_z
_atom_site_occupancy
Ba1 Ba 0.0790 0.0000 0.3939 1
Ba2 Ba 0.1924 0.5000 0.1370 1
Sb1 Sb 0.0486 0.0000 0.9080 1
Sb2 Sb 0.1571 0.5000 0.6446 1
Pt1 Pt 0.0728 0.5000 0.8097 1
```

Diffraction record for BaU3Pt4Se12. The PXRD pattern is simulated, not measured: it uses a GGA-PBE-relaxed structure and λ = 1.5418 Å (Cu Kα).
Peak positions follow from Bragg's law for the DFT cell and can differ from measured ones.

Principal peaks in the range 10 to 90 degrees two-theta, most intense first:
2θ = 22.06°, 4.030 Å, rel. 100, (2 0 2)
2θ = 20.93°, 4.244 Å, rel. 59, (2 1 1)
2θ = 46.36°, 1.958 Å, rel. 38, (5 2 0)
2θ = 40.54°, 2.225 Å, rel. 33, (5 0 2)
2θ = 31.21°, 2.866 Å, rel. 29, (3 1 2)
2θ = 36.62°, 2.454 Å, rel. 23, (0 2 4)
2θ = 28.00°, 3.187 Å, rel. 23, (1 1 3)
2θ = 55.31°, 1.661 Å, rel. 22, (0 7 2)
2θ = 36.14°, 2.486 Å, rel. 22, (2 3 2)
2θ = 71.50°, 1.320 Å, rel. 22, (5 2 6)

Structure:
```
data_BaU3Pt4Se12
_chemical_formula_sum 'Ba3 U9 Pt12 Se36'
_symmetry_space_group_name_H-M 'R 3 2'
_symmetry_Int_Tables_number 155
_symmetry_space_group_name_Hall 'R 3 2"'
_cell_length_a 14.1223
_cell_length_b 14.1223
_cell_length_c 10.7147
_cell_angle_alpha 90.00
_cell_angle_beta 90.00
_cell_angle_gamma 120.00
loop_
_atom_site_label
_atom_site_type_symbol
_atom_site_fract_x
_atom_site_fract_y
_atom_site_fract_z
_atom_site_occupancy
Ba1 Ba 0.0000 0.0000 0.0000 1
U1 U 0.0000 0.5687 0.0000 1
Pt1 Pt 0.0000 0.0000 0.5000 1
Pt2 Pt 0.0000 0.4168 0.5000 1
Se1 Se 0.0000 0.5880 0.5000 1
Se2 Se 0.0000 0.8325 0.5000 1
Se3 Se 0.0583 0.2060 0.1958 1
```

Diffraction record for Ba2SiPt5. The PXRD pattern is simulated, not measured: it uses a GGA-PBE-relaxed structure and λ = 1.5418 Å (Cu Kα).
Peak positions follow from Bragg's law for the DFT cell and can differ from measured ones.

Principal peaks in the range 10 to 90 degrees two-theta, most intense first:
2θ = 34.64°, 2.589 Å, rel. 100, (2 0 2)
2θ = 43.18°, 2.095 Å, rel. 31, (2 2 0)
2θ = 33.64°, 2.664 Å, rel. 22, (0 0 4)
2θ = 17.12°, 5.179 Å, rel. 21, (1 0 1)
2θ = 73.67°, 1.286 Å, rel. 21, (4 2 2)
2θ = 55.83°, 1.647 Å, rel. 20, (2 2 4)
2θ = 16.64°, 5.328 Å, rel. 17, (0 0 2)
2θ = 60.81°, 1.523 Å, rel. 13, (2 0 6)
2θ = 45.81°, 1.981 Å, rel. 10, (2 0 4)
2θ = 62.72°, 1.481 Å, rel. 10, (4 0 0)

Structure:
```
data_Ba2SiPt5
_chemical_formula_sum 'Ba4 Si2 Pt10'
_symmetry_space_group_name_H-M 'I 4 m m'
_symmetry_Int_Tables_number 107
_symmetry_space_group_name_Hall 'I 4 -2'
_cell_length_a 5.9256
_cell_length_b 5.9256
_cell_length_c 10.6558
_cell_angle_alpha 90.00
_cell_angle_beta 90.00
_cell_angle_gamma 90.00
loop_
_atom_site_label
_atom_site_type_symbol
_atom_site_fract_x
_atom_site_fract_y
_atom_site_fract_z
_atom_site_occupancy
Ba1 Ba 0.0000 0.5000 0.0000 1
Si1 Si 0.0000 0.0000 0.3363 1
Pt1 Pt 0.0000 0.0000 0.5643 1
Pt2 Pt 0.2357 0.2357 0.7532 1
```

Diffraction record for BaSi6Pt5. The PXRD pattern is simulated, not measured: it uses a GGA-PBE-relaxed structure and λ = 1.5418 Å (Cu Kα).
Peak positions follow from Bragg's law for the DFT cell and can differ from measured ones.

Principal peaks in the range 10 to 90 degrees two-theta, most intense first:
2θ = 29.56°, 3.022 Å, rel. 100, (1 -2 0)
2θ = 28.15°, 3.170 Å, rel. 86, (1 0 -2)
2θ = 25.84°, 3.448 Å, rel. 76, (1 1 0)
2θ = 37.62°, 2.391 Å, rel. 60, (2 1 -2)
2θ = 32.16°, 2.783 Å, rel. 49, (2 -1 0)
2θ = 34.61°, 2.591 Å, rel. 42, (0 2 -2)
2θ = 25.25°, 3.528 Å, rel. 39, (1 -1 1)
2θ = 37.87°, 2.375 Å, rel. 33, (1 -1 2)
2θ = 47.15°, 1.927 Å, rel. 28, (-2 2 2)
2θ = 48.15°, 1.890 Å, rel. 25, (-3 1 2)

Structure:
```
data_BaSi6Pt5
_chemical_formula_sum 'Ba1 Si6 Pt5'
_symmetry_space_group_name_H-M 'P -1'
_symmetry_Int_Tables_number 2
_symmetry_space_group_name_Hall '-P 1'
_cell_length_a 6.0169
_cell_length_b 6.4653
_cell_length_c 6.6303
_cell_angle_alpha 105.59
_cell_angle_beta 110.90
_cell_angle_gamma 100.97
loop_
_atom_site_label
_atom_site_type_symbol
_atom_site_fract_x
_atom_site_fract_y
_atom_site_fract_z
_atom_site_occupancy
Ba1 Ba 0.0000 0.0000 0.0000 1
Si1 Si 0.0294 0.6218 0.3332 1
Si2 Si 0.4060 0.3015 0.5431 1
Si3 Si 0.4185 0.0834 0.8266 1
Pt1 Pt 0.0000 0.0000 0.5000 1
Pt2 Pt 0.2521 0.6041 0.0851 1
Pt3 Pt 0.3765 0.6781 0.7145 1
```